For Ni3H6SO3, a DFT-relaxed cell (GGA+U, Alexandria) gives the computed powder XRD pattern in this record (Cu Kα).
Peak positions follow from Bragg's law for the DFT cell and can differ from measured ones.

Cell and atoms:
```
data_Ni3H6SO3
_chemical_formula_sum 'Ni3 H6 S1 O3'
_cell_length_a 5.8203
_cell_length_b 5.8439
_cell_length_c 6.2597
_cell_angle_alpha 116.38
_cell_angle_beta 92.13
_cell_angle_gamma 118.40
_symmetry_space_group_name_H-M 'P 1'
_symmetry_Int_Tables_number 1
loop_
_symmetry_equiv_pos_as_xyz
'x,y,z'
loop_
_atom_site_label
_atom_site_type_symbol
_atom_site_fract_x
_atom_site_fract_y
_atom_site_fract_z
Ni1 Ni 0.0000 0.0000 0.0000
Ni2 Ni 0.0562 0.6624 0.2964
Ni3 Ni 0.5742 0.1236 0.3005
H1 H 0.1338 0.3432 0.6151
H2 H 0.1346 0.4626 0.7327
H3 H 0.4505 0.4442 0.9357
H4 H 0.5060 0.0446 0.6779
H5 H 0.5102 0.4314 0.0358
H6 H 0.6160 0.7621 0.5195
S1 S 0.7818 0.6614 0.5730
O1 O 0.1834 0.8800 0.1266
O2 O 0.4600 0.9100 0.4978
O3 O 0.8425 0.2207 0.1328
```

Most intense lines, 10° ≤ 2θ ≤ 90°, sorted by position:
hkl  two_theta  d/Å  I/Imax
0 0 1  16.66  5.322  100.0
1 0 0  18.27  4.857  57.5
1 -1 0  18.38  4.828  45.2
0 1 0  20.31  4.373  34.5
1 0 -1  20.50  4.332  33.5
1 -1 1  21.29  4.172  86.9
-1 1 1  28.07  3.178  49.3
1 -1 2  33.85  2.648  31.9
1 1 -2  34.56  2.595  35.4
1 1 1  45.47  1.995  29.4